The following is a computed powder diffraction line list of RbBiAs6H24C8S12N2. It was derived from a cell relaxed with PBE, using Cu Kα (weighted mean of Kα1 and Kα2).
Lines closer than 0.1° are merged.

Most intense lines, 2θ = 10–90°, by angle:
two_theta	Rel. int.
11.84	47
17.58	27
18.44	51
23.83	19
25.60	37
27.17	25
29.75	100
36.91	19
41.87	20
47.69	23

Crystal structure
Lattice parameters (Å, degrees): 11.240 11.240 11.240 53.35 53.35 53.35
Fractional positions:
Rb  0.000  0.000  0.000
Bi  0.500  0.500  0.500
As  0.080  0.699  0.803
As  0.197  0.920  0.301
As  0.301  0.197  0.920
As  0.699  0.803  0.080
As  0.803  0.080  0.699
As  0.920  0.301  0.197
H  0.078  0.365  0.486
H  0.128  0.329  0.270
H  0.166  0.550  0.215
H  0.215  0.166  0.550
H  0.241  0.329  0.515
H  0.270  0.128  0.329
H  0.329  0.270  0.128
H  0.329  0.515  0.241
H  0.365  0.486  0.078
H  0.450  0.785  0.834
H  0.485  0.759  0.671
H  0.486  0.078  0.365
H  0.514  0.922  0.635
H  0.515  0.241  0.329
H  0.550  0.215  0.166
H  0.635  0.514  0.922
H  0.671  0.485  0.759
H  0.671  0.730  0.872
H  0.730  0.872  0.671
H  0.759  0.671  0.485
H  0.785  0.834  0.450
H  0.834  0.450  0.785
H  0.872  0.671  0.730
H  0.922  0.635  0.514
C  0.203  0.292  0.477
C  0.254  0.254  0.254
C  0.292  0.477  0.203
C  0.477  0.203  0.292
C  0.523  0.797  0.708
C  0.708  0.523  0.797
C  0.746  0.746  0.746
C  0.797  0.708  0.523
S  0.039  0.327  0.930
S  0.070  0.961  0.673
S  0.213  0.669  0.439
S  0.327  0.930  0.039
S  0.331  0.561  0.787
S  0.439  0.213  0.669
S  0.561  0.787  0.331
S  0.669  0.439  0.213
S  0.673  0.070  0.961
S  0.787  0.331  0.561
S  0.930  0.039  0.327
S  0.961  0.673  0.070
N  0.306  0.306  0.306
N  0.694  0.694  0.694